[1]
Diffraction record for Na2Te4WO12. The PXRD pattern is calculated, not measured: it uses the PBE+U geometry in the Materials Project and Cu Kα, 1.54184 Å.
No peak broadening, texture or thermal motion is included.

Crystal structure
Cell: 17.541 5.880 11.466 Å, 90.00 104.88 90.00°
Space group C2/c (No. 15)
One atom of each set of equivalent atoms:
Na 0.212 0.228 0.266 [8 per cell]
Te 0.094 0.215 0.599 [8 per cell]
Te 0.157 0.329 0.936 [8 per cell]
W 0.000 0.340 0.250 [4 per cell]
O 0.012 0.381 0.636 [8 per cell]
O 0.024 0.143 0.142 [8 per cell]
O 0.111 0.394 0.338 [8 per cell]
O 0.159 0.152 0.755 [8 per cell]
O 0.163 0.483 0.590 [8 per cell]
O 0.241 0.074 0.071 [8 per cell]

Principal peaks in the range 10° ≤ 2θ ≤ 80°, in order of falling intensity:
(4 0 2), d 3.012, intensity 100
(1 1 -3), d 3.203, intensity 89
(3 1 -1), d 4.076, intensity 88
(3 1 5), d 1.810, intensity 33
(4 2 2), d 2.103, intensity 29
(3 1 -2), d 3.617, intensity 28
(2 2 1), d 2.642, intensity 25
(0 2 0), d 2.939, intensity 25
(2 0 0), d 8.476, intensity 24
(4 0 -4), d 2.652, intensity 22

[2]
Diffraction record for NaU4V3O20. The PXRD pattern is calculated, not measured: it uses the PBE+U geometry in the Materials Project and Cu Kα, 1.54184 Å.
No peak broadening, texture or thermal motion is included.

Crystal structure
Cell: 10.374 10.374 18.084 Å, 90.00 106.47 90.00°
Space group C2/c (No. 15)
One atom of each set of equivalent atoms:
Na 0.000 0.000 0.000 [4 per cell]
U 0.153 0.375 0.055 [8 per cell]
U 0.224 0.125 0.698 [8 per cell]
V 0.000 0.125 0.250 [4 per cell]
V 0.057 0.375 0.864 [8 per cell]
O 0.000 0.465 0.569 [8 per cell]
O 0.031 0.248 0.052 [8 per cell]
O 0.068 0.277 0.691 [8 per cell]
O 0.071 0.026 0.194 [8 per cell]
O 0.127 0.224 0.305 [8 per cell]
O 0.128 0.473 0.809 [8 per cell]
O 0.167 0.121 0.592 [8 per cell]
O 0.180 0.285 0.931 [8 per cell]
O 0.220 0.375 0.190 [8 per cell]
O 0.223 0.006 0.948 [8 per cell]

Principal peaks in the range 10° ≤ 2θ ≤ 80°, in order of falling intensity:
(2 2 -1), d 3.668, intensity 100
(2 0 -2), d 4.969, intensity 59
(1 1 4), d 3.412, intensity 58
(1 1 3), d 4.106, intensity 47
(2 4 0), d 2.299, intensity 26
(1 1 -3), d 5.039, intensity 25
(0 4 0), d 2.593, intensity 24
(1 1 -1), d 7.176, intensity 21
(3 1 3), d 2.499, intensity 20
(4 4 -2), d 1.834, intensity 18